For Y2Bi4S9, a structure optimized by DFT (PBE) gives the computed powder diffractogram in this record (Cu Kα X-rays).
Peak positions follow from Bragg's law for the DFT cell and can differ from measured ones.

Principal peaks in the range 2θ from 15° to 90°, low angle first:
2θ (°), d_spacing, intensity
17.27, 5.135, 41
23.86, 3.730, 99
25.16, 3.539, 100
34.95, 2.567, 49
38.37, 2.346, 80
43.55, 2.078, 49
44.33, 2.043, 48
50.79, 1.798, 25
57.66, 1.599, 17
60.05, 1.541, 21
63.75, 1.460, 21
77.61, 1.230, 25

```
Y2Bi4S9
1.0
7.0779 0.0000 0.0000
-3.5390 6.1297 0.0000
0.0000 0.0000 18.8004
Y Bi S
4 8 18
direct
0.0000 0.0000 0.1500 Y
0.0000 0.0000 0.3500 Y
0.0000 0.0000 0.6500 Y
0.0000 0.0000 0.8500 Y
0.3333 0.6667 0.1851 Bi
0.3333 0.6667 0.4834 Bi
0.3333 0.6667 0.6851 Bi
0.3333 0.6667 0.9834 Bi
0.6667 0.3333 0.0166 Bi
0.6667 0.3333 0.3149 Bi
0.6667 0.3333 0.5166 Bi
0.6667 0.3333 0.8149 Bi
0.0000 0.2909 0.2500 S
0.0000 0.7091 0.7500 S
0.0367 0.3611 0.5839 S
0.0367 0.6756 0.0839 S
0.2909 0.0000 0.2500 S
0.2909 0.2909 0.7500 S
0.3244 0.3611 0.0839 S
0.3244 0.9633 0.5839 S
0.3611 0.0367 0.9161 S
0.3611 0.3244 0.4161 S
0.6389 0.6756 0.5839 S
0.6389 0.9633 0.0839 S
0.6756 0.0367 0.4161 S
0.6756 0.6389 0.9161 S
0.7091 0.0000 0.7500 S
0.7091 0.7091 0.2500 S
0.9633 0.3244 0.9161 S
0.9633 0.6389 0.4161 S
```



For Sm2CO, a structure optimized by DFT (PBE) gives the computed powder diffractogram in this record (Cu Kα X-rays).
Peak positions follow from Bragg's law for the DFT cell and can differ from measured ones.

Principal peaks in the range 2θ from 15° to 90°, low angle first:
2θ (°), d_spacing, intensity
30.18, 2.962, 100
34.80, 2.578, 50
35.34, 2.540, 24
49.92, 1.827, 9
50.16, 1.819, 9
50.44, 1.809, 34
59.47, 1.554, 15
59.64, 1.550, 15
60.27, 1.536, 15
62.64, 1.483, 9
62.85, 1.479, 9
84.25, 1.149, 8

```
Sm2CO
1.0
3.6538 0.0000 0.0000
0.0000 5.0794 0.0000
0.0000 0.0000 7.2743
Sm C O
4 2 2
direct
0.2500 0.2500 0.1216 Sm
0.2500 0.2500 0.6288 Sm
0.7500 0.7500 0.3712 Sm
0.7500 0.7500 0.8784 Sm
0.2500 0.7500 0.1377 C
0.7500 0.2500 0.8623 C
0.2500 0.7500 0.6218 O
0.7500 0.2500 0.3782 O
```



For K3Rb3Zn4Sn3Se13, a structure optimized by DFT (PBE) gives the computed powder diffractogram in this record (Cu Kα X-rays).
Peak positions follow from Bragg's law for the DFT cell and can differ from measured ones.

Principal peaks in the range 2θ from 15° to 90°, low angle first:
2θ (°), d_spacing, intensity
23.93, 3.718, 54
26.80, 3.327, 49
26.98, 3.304, 76
27.50, 3.243, 73
28.33, 3.150, 75
29.58, 3.020, 86
31.91, 2.805, 33
36.27, 2.477, 31
40.68, 2.218, 40
43.13, 2.097, 30
49.03, 1.858, 100
49.90, 1.827, 53

```
K3Rb3Zn4Sn3Se13
1.0
7.4294 4.2894 5.1822
-7.4294 4.2894 5.1822
0.0000 -8.5787 5.1822
K Rb Zn Sn Se
3 3 4 3 13
direct
0.1896 0.1896 0.6208 K
0.1896 0.6208 0.1896 K
0.6208 0.1896 0.1896 K
0.3950 0.8496 0.8496 Rb
0.8496 0.3950 0.8496 Rb
0.8496 0.8496 0.3950 Rb
0.3562 0.3562 0.3562 Zn
0.4684 0.4684 0.7515 Zn
0.4684 0.7515 0.4684 Zn
0.7515 0.4684 0.4684 Zn
0.1250 0.5751 0.5751 Sn
0.5751 0.1250 0.5751 Sn
0.5751 0.5751 0.1250 Sn
0.1134 0.3828 0.3828 Se
0.2312 0.5043 0.7988 Se
0.2312 0.7988 0.5043 Se
0.3828 0.1134 0.3828 Se
0.3828 0.3828 0.1134 Se
0.5043 0.2312 0.7988 Se
0.5043 0.7988 0.2312 Se
0.5144 0.5144 0.5144 Se
0.6343 0.6343 0.8942 Se
0.6343 0.8943 0.6343 Se
0.7988 0.2312 0.5043 Se
0.7988 0.5043 0.2312 Se
0.8942 0.6343 0.6343 Se
```